Diffraction record for TaCr3Ag2S8. The powder diffraction line list is theoretical, not measured: it uses DFT lattice parameters and positions (GGA-PBE) and Cu Kα.
Neutral-atom scattering factors, no anomalous dispersion.

Peak list (12 most intense, 5° ≤ 2θ ≤ 70°, most intense first)
(2 4 0), 40.39 deg, intensity 100; (1 1 -1), 20.63 deg, intensity 68; (0 2 0), 13.31 deg, intensity 62; (0 2 2), 29.03 deg, intensity 59; (3 0 2), 52.76 deg, intensity 57; (1 4 2), 40.49 deg, intensity 53; (2 3 0), 36.03 deg, intensity 51; (1 2 -2), 32.62 deg, intensity 48; (1 2 1), 23.73 deg, intensity 43; (1 6 -2), 51.18 deg, intensity 42; (1 2 0), 19.88 deg, intensity 36; (1 0 -1), 19.46 deg, intensity 35

Crystal structure
a b c (Å): 6.030 13.301 6.937
angles (deg): 90.00 90.27 90.00
Space group P2_1/m (No. 11)
Unique sites:
Ta 0.000 0.000 0.000 x2
Cr 0.000 0.000 0.500 x2
Cr 0.499 0.002 0.750 x4
Ag 0.159 0.750 0.265 x2
Ag 0.479 0.250 0.263 x2
S 0.166 0.104 0.746 x4
S 0.171 0.103 0.255 x4
S 0.332 0.599 0.497 x4
S 0.338 0.606 0.001 x4

=====

Diffraction record for TaCr3Ag2S8. The powder diffraction line list is theoretical, not measured: it uses DFT lattice parameters and positions (GGA-PBE) and Cu Kα.
Neutral-atom scattering factors, no anomalous dispersion.

Peak list (12 most intense, 5° ≤ 2θ ≤ 70°, most intense first)
(2 0 -3), 26.51 deg, intensity 100; (3 1 -2), 37.47 deg, intensity 77; (3 1 -1), 35.15 deg, intensity 59; (2 1 -2), 33.28 deg, intensity 52; (1 0 1), 10.40 deg, intensity 52; (0 1 1), 26.69 deg, intensity 35; (4 0 0), 30.14 deg, intensity 33; (0 2 0), 52.71 deg, intensity 27; (1 1 -5), 45.98 deg, intensity 26; (4 1 1), 40.68 deg, intensity 25; (1 1 5), 46.02 deg, intensity 23; (3 0 -1), 23.63 deg, intensity 21

Crystal structure
a b c (Å): 11.864 3.473 12.239
angles (deg): 90.00 90.14 90.00
Space group P2_1/m (No. 11)
Unique sites:
Ta 0.148 0.250 0.285 x2
Cr 0.113 0.250 0.918 x2
Cr 0.348 0.750 0.794 x2
Cr 0.398 0.750 0.427 x2
Ag 0.146 0.750 0.594 x2
Ag 0.377 0.250 0.076 x2
S 0.033 0.250 0.119 x2
S 0.045 0.750 0.383 x2
S 0.212 0.250 0.750 x2
S 0.238 0.750 0.959 x2
S 0.266 0.250 0.464 x2
S 0.290 0.750 0.245 x2
S 0.454 0.250 0.873 x2
S 0.468 0.750 0.614 x2

=====

Diffraction record for TaCr3Ag2S8. The powder diffraction line list is theoretical, not measured: it uses DFT lattice parameters and positions (GGA-PBE) and Cu Kα.
Neutral-atom scattering factors, no anomalous dispersion.

Peak list (12 most intense, 5° ≤ 2θ ≤ 70°, most intense first)
(0 3 2), 26.52 deg, intensity 100; (1 2 3), 37.47 deg, intensity 82; (1 1 3), 35.16 deg, intensity 57; (1 5 1), 45.97 deg, intensity 56; (1 2 2), 33.26 deg, intensity 53; (0 1 0), 7.22 deg, intensity 47; (2 0 0), 52.61 deg, intensity 39; (0 0 4), 30.17 deg, intensity 36; (1 1 0), 26.64 deg, intensity 34; (0 2 2), 20.87 deg, intensity 30; (1 2 4), 42.74 deg, intensity 28; (0 0 2), 14.96 deg, intensity 25

Crystal structure
a b c (Å): 3.478 12.244 11.846
angles (deg): 90.00 90.00 90.00
Space group Pmc2_1 (No. 26)
Unique sites:
Ta 0.000 0.036 0.000 x2
Cr 0.000 0.333 0.550 x2
Cr 0.500 0.181 0.759 x2
Cr 0.500 0.456 0.309 x2
Ag 0.000 0.177 0.295 x2
Ag 0.500 0.352 0.024 x2
S 0.000 0.131 0.618 x2
S 0.000 0.217 0.887 x2
S 0.000 0.373 0.202 x2
S 0.000 0.498 0.443 x2
S 0.500 0.005 0.356 x2
S 0.500 0.128 0.105 x2
S 0.500 0.293 0.421 x2
S 0.500 0.366 0.688 x2

=====

Diffraction record for TaCr3Ag2S8. The powder diffraction line list is theoretical, not measured: it uses DFT lattice parameters and positions (GGA-PBE) and Cu Kα.
Neutral-atom scattering factors, no anomalous dispersion.

Peak list (12 most intense, 5° ≤ 2θ ≤ 70°, most intense first)
(1 0 0), 14.81 deg, intensity 100; (1 2 2), 41.44 deg, intensity 82; (2 0 -2), 39.59 deg, intensity 69; (1 2 0), 29.54 deg, intensity 69; (1 2 -2), 40.03 deg, intensity 44; (3 2 0), 52.83 deg, intensity 41; (0 0 1), 13.61 deg, intensity 40; (1 2 1), 33.07 deg, intensity 30; (0 2 0), 25.41 deg, intensity 30; (1 0 2), 32.16 deg, intensity 28; (2 0 0), 29.88 deg, intensity 26; (0 4 0), 52.18 deg, intensity 24

Crystal structure
a b c (Å): 5.993 7.011 6.519
angles (deg): 90.00 93.76 90.00
Space group P2/m (No. 10)
Unique sites:
Ta 0.000 0.000 0.000 x1
Cr 0.000 0.500 0.000 x1
Cr 0.500 0.252 0.000 x2
Ag 0.000 0.000 0.500 x1
Ag 0.000 0.500 0.500 x1
S 0.184 0.255 0.214 x4
S 0.322 0.500 0.801 x2
S 0.328 0.000 0.788 x2

=====

Diffraction record for TaCr3Ag2S8. The powder diffraction line list is theoretical, not measured: it uses DFT lattice parameters and positions (GGA-PBE) and Cu Kα.
Neutral-atom scattering factors, no anomalous dispersion.

Peak list (12 most intense, 5° ≤ 2θ ≤ 70°, most intense first)
(1 1 -4), 40.93 deg, intensity 100; (1 1 0), 29.89 deg, intensity 70; (1 0 1), 16.62 deg, intensity 64; (0 0 1), 6.87 deg, intensity 61; (1 1 4), 41.53 deg, intensity 56; (3 1 0), 53.35 deg, intensity 47; (0 0 2), 13.77 deg, intensity 44; (2 0 -4), 40.81 deg, intensity 44; (2 0 4), 42.00 deg, intensity 44; (2 0 0), 30.12 deg, intensity 39; (0 1 1), 26.68 deg, intensity 37; (1 0 -1), 16.28 deg, intensity 36

Crystal structure
a b c (Å): 5.936 3.461 12.867
angles (deg): 90.00 91.59 90.00
Space group Pm (No. 6)
Unique sites:
Ta 0.000 0.000 0.000 x1
Cr 0.444 0.500 0.004 x1
Cr 0.490 0.500 0.494 x1
Cr 0.956 0.000 0.509 x1
Ag 0.482 0.500 0.745 x1
Ag 0.976 0.000 0.257 x1
S 0.129 0.500 0.880 x1
S 0.131 0.500 0.404 x1
S 0.315 0.000 0.597 x1
S 0.318 0.000 0.119 x1
S 0.619 0.000 0.903 x1
S 0.635 0.000 0.392 x1
S 0.796 0.500 0.105 x1
S 0.812 0.500 0.611 x1

=====

Diffraction record for TaCr3Ag2S8. The powder diffraction line list is theoretical, not measured: it uses DFT lattice parameters and positions (GGA-PBE) and Cu Kα.
Neutral-atom scattering factors, no anomalous dispersion.

Peak list (12 most intense, 5° ≤ 2θ ≤ 70°, most intense first)
(0 0 2), 13.33 deg, intensity 100; (-1 1 1), 20.64 deg, intensity 95; (0 4 0), 52.76 deg, intensity 92; (2 0 -4), 40.35 deg, intensity 81; (2 0 0), 29.75 deg, intensity 77; (2 0 4), 40.63 deg, intensity 76; (1 2 -4), 40.26 deg, intensity 68; (2 0 -3), 36.00 deg, intensity 66; (1 -2 2), 32.62 deg, intensity 59; (1 0 1), 16.24 deg, intensity 59; (0 0 4), 26.85 deg, intensity 54; (1 1 1), 20.79 deg, intensity 50

Crystal structure
a b c (Å): 6.006 6.937 13.281
angles (deg): 90.61 90.43 90.20
Space group P1 (No. 1)
Unique sites:
Ta 0.000 0.000 0.000 x1
Ta 0.487 0.746 0.503 x1
Cr 0.003 0.485 0.999 x1
Cr 0.009 0.988 0.499 x1
Cr 0.010 0.489 0.499 x1
Cr 0.503 0.238 0.999 x1
Cr 0.504 0.741 0.000 x1
Cr 0.511 0.237 0.500 x1
Ag 0.141 0.254 0.752 x1
Ag 0.468 0.247 0.254 x1
Ag 0.539 0.728 0.751 x1
Ag 0.852 0.722 0.246 x1
S 0.166 0.738 0.392 x1
S 0.169 0.735 0.100 x1
S 0.176 0.245 0.105 x1
S 0.177 0.237 0.403 x1
S 0.335 0.483 0.900 x1
S 0.336 0.998 0.608 x1
S 0.339 0.990 0.894 x1
S 0.340 0.481 0.605 x1
S 0.667 0.990 0.107 x1
S 0.671 0.494 0.099 x1
S 0.675 0.486 0.397 x1
S 0.678 0.986 0.396 x1
S 0.829 0.240 0.893 x1
S 0.836 0.732 0.898 x1
S 0.842 0.740 0.601 x1
S 0.851 0.239 0.596 x1

=====

Diffraction record for TaCr3Ag2S8. The powder diffraction line list is theoretical, not measured: it uses DFT lattice parameters and positions (GGA-PBE) and Cu Kα.
Neutral-atom scattering factors, no anomalous dispersion.

Peak list (12 most intense, 5° ≤ 2θ ≤ 70°, most intense first)
(0 2 4), 40.52 deg, intensity 100; (1 1 -2), 20.66 deg, intensity 66; (0 2 3), 36.14 deg, intensity 52; (2 1 -4), 32.72 deg, intensity 45; (0 0 2), 13.36 deg, intensity 40; (2 0 0), 29.09 deg, intensity 40; (2 3 -2), 52.69 deg, intensity 38; (1 1 2), 28.16 deg, intensity 34; (0 2 0), 29.72 deg, intensity 31; (2 1 -8), 51.33 deg, intensity 27; (0 1 2), 19.92 deg, intensity 24; (1 0 -2), 14.43 deg, intensity 22

Crystal structure
a b c (Å): 6.928 6.024 14.949
angles (deg): 90.00 117.57 90.00
Space group P2/c (No. 13)
Unique sites:
Ta 0.000 0.000 0.000 x2
Cr 0.254 0.499 0.002 x4
Cr 0.500 0.000 0.000 x2
Ag 0.000 0.479 0.250 x2
Ag 0.500 0.159 0.750 x2
S 0.106 0.339 0.606 x4
S 0.152 0.170 0.397 x4
S 0.360 0.166 0.104 x4
S 0.401 0.332 0.899 x4

=====

Diffraction record for TaCr3Ag2S8. The powder diffraction line list is theoretical, not measured: it uses DFT lattice parameters and positions (GGA-PBE) and Cu Kα.
Neutral-atom scattering factors, no anomalous dispersion.

Peak list (12 most intense, 5° ≤ 2θ ≤ 70°, most intense first)
(0 2 3), 27.57 deg, intensity 100; (1 3 1), 33.99 deg, intensity 79; (1 2 1), 30.28 deg, intensity 72; (1 1 4), 42.15 deg, intensity 57; (1 4 2), 41.21 deg, intensity 50; (0 1 1), 10.41 deg, intensity 44; (0 4 0), 27.25 deg, intensity 39; (1 3 0), 33.00 deg, intensity 36; (0 6 2), 44.59 deg, intensity 32; (1 5 3), 50.07 deg, intensity 32; (2 0 0), 52.81 deg, intensity 32; (0 2 2), 20.91 deg, intensity 31

Crystal structure
a b c (Å): 3.467 13.089 11.167
angles (deg): 90.00 90.00 90.00
Space group Pmc2_1 (No. 26)
Unique sites:
Ta 0.000 0.154 0.000 x2
Cr 0.000 0.366 0.525 x2
Cr 0.500 0.144 0.641 x2
Cr 0.500 0.351 0.171 x2
Ag 0.000 0.427 0.830 x2
Ag 0.500 0.091 0.333 x2
S 0.000 0.100 0.789 x2
S 0.000 0.184 0.502 x2
S 0.000 0.225 0.206 x2
S 0.000 0.463 0.116 x2
S 0.500 0.033 0.061 x2
S 0.500 0.286 0.965 x2
S 0.500 0.323 0.667 x2
S 0.500 0.407 0.382 x2

=====

- Which formula does entry 3 have?
  TaCr3Ag2S8

=====

- Number 6 is which compound?
  TaCr3Ag2S8